# AgPbO3
Computed XRD peak list, a wavelength of 1.5418 Å. Input: a cell relaxed with GGA-PBE.
Lines closer than 0.1° are merged.

Largest 10 diffraction maxima, in order of falling intensity, 10° ≤ 2θ ≤ 90°:
Position (°2θ)	I (rel.)	(hkl)
30.95	100.0	1 1 0
29.53	97.0	1 0 4
43.30	39.1	0 2 4
54.17	38.8	2 1 4
47.77	38.8	1 1 6
55.05	28.4	3 0 0
21.26	21.4	0 1 2
35.78	14.7	1 1 3
72.51	14.7	4 -3 4
64.06	13.4	1 0 10

Crystal structure
a = 5.7786 Å, b = 5.7786 Å, c = 15.1895 Å
α = 90.00°, β = 90.00°, γ = 120.00°
Space group R-3 (No. 148, hexagonal axes)
Unique sites:
Ag  0.0000  0.0000  0.1426 x6
Pb  0.0000  0.0000  0.3542 x6
O  0.0088  0.3004  0.2523 x18



# AgPdO3
Computed XRD peak list, a wavelength of 1.5418 Å. Input: a cell relaxed with GGA-PBE.
Lines closer than 0.1° are merged.

Largest 10 diffraction maxima, in order of falling intensity, 10° ≤ 2θ ≤ 90°:
Position (°2θ)	I (rel.)	(hkl)
31.05	100.0	0 2 2
29.57	74.3	2 2 0
35.94	62.5	2 0 2
38.51	40.2	1 3 2
59.86	28.8	4 2 2
27.85	23.9	1 3 0
32.40	23.2	2 2 1
49.80	22.2	4 0 0
53.61	20.8	0 0 4
19.61	20.6	1 1 1

Crystal structure
a = 7.3237 Å, b = 10.6865 Å, c = 6.8382 Å
α = 90.00°, β = 90.00°, γ = 90.00°
Space group Cmcm (No. 63)
Unique sites:
Ag  0.0000  0.0071  0.2500 x4
Ag  0.0000  0.3802  0.2500 x4
Pd  0.2500  0.2500  0.0000 x8
O  0.0000  0.1611  0.5017 x8
O  0.1790  0.3440  0.7500 x8
O  0.2185  0.4713  0.7500 x8



# PrZnAg2O6
Computed XRD peak list, a wavelength of 1.5418 Å. Input: a cell relaxed with GGA-PBE.
Lines closer than 0.1° are merged.

Largest 10 diffraction maxima, in order of falling intensity, 10° ≤ 2θ ≤ 90°:
Position (°2θ)	I (rel.)	(hkl)
31.51	100.0	2 1 1
58.11	19.3	2 1 3
33.09	19.0	0 0 2
31.00	18.3	0 2 0
45.97	17.1	0 2 2
44.34	12.2	4 0 0
56.43	11.4	4 0 2
55.09	10.2	4 2 0
55.46	9.8	2 3 1
25.05	8.9	1 1 1

Crystal structure
a = 8.1711 Å, b = 5.7701 Å, c = 5.4149 Å
α = 90.00°, β = 90.00°, γ = 90.00°
Space group Pmn2_1 (No. 31)
Unique sites:
Pr  0.0000  0.1791  0.0000 x2
Zn  0.0000  0.6863  0.4483 x2
Ag  0.2475  0.7434  0.9787 x4
O  0.0000  0.3260  0.5910 x2
O  0.0000  0.8011  0.8057 x2
O  0.1654  0.4743  0.2001 x4
O  0.1773  0.9378  0.2928 x4



# AgPtO2
Computed XRD peak list, a wavelength of 1.5418 Å. Input: a cell relaxed with GGA-PBE.
Lines closer than 0.1° are merged.

Largest 10 diffraction maxima, in order of falling intensity, 10° ≤ 2θ ≤ 90°:
Position (°2θ)	I (rel.)	(hkl)
33.21	100.0	4 0 0
27.42	32.5	0 0 2
39.93	29.0	3 1 -1
13.61	24.7	0 0 1
52.67	22.0	1 1 3
55.96	18.3	3 1 -3
30.86	18.2	2 0 -2
54.60	16.5	5 1 1
41.46	13.6	3 1 1
41.64	13.6	4 0 -2

Crystal structure
a = 10.8129 Å, b = 3.1250 Å, c = 6.5296 Å
α = 90.00°, β = 94.99°, γ = 90.00°
Space group C2/m (No. 12)
Unique sites:
Ag  0.1392  0.0000  0.4484 x4
Pt  0.1157  0.5000  0.9434 x4
O  0.0681  0.0000  0.7521 x4
O  0.1831  0.0000  0.1271 x4